# 1
Y2Mg5Sc: computed PXRD pattern (CuKα), based on a crystal structure in Alexandria, relaxed with PBE.
Peak positions follow from Bragg's law for the DFT cell and can differ from measured ones.

Peak list (8 most intense, 10 to 90 degrees two-theta, in order of rising 2θ)
11.55 deg, d = 7.660 Å, I = 23, (0 0 2)
24.57 deg, d = 3.623 Å, I = 24, (1 1 0)
27.22 deg, d = 3.276 Å, I = 23, (1 1 2)
34.06 deg, d = 2.632 Å, I = 100, (1 1 4)
35.02 deg, d = 2.562 Å, I = 48, (2 0 0)
50.39 deg, d = 1.811 Å, I = 22, (2 2 0)
60.34 deg, d = 1.534 Å, I = 16, (2 0 8)
62.20 deg, d = 1.493 Å, I = 32, (3 1 4)

Crystal structure
a b c (Å): 5.1250 5.1250 15.3210
angles (deg): 90.00 90.00 90.00
Space group I4/mmm (No. 139)
Inequivalent atoms, fractional coordinates:
Y: 0.0000 0.0000 0.2454 x4
Mg: 0.0000 0.0000 0.0000 x2
Mg: 0.0000 0.5000 0.1137 x8
Sc: 0.0000 0.0000 0.5000 x2

# 2
Ac4HgGeN: computed PXRD pattern (CuKα), based on a crystal structure in Alexandria, relaxed with PBE.
Peak positions follow from Bragg's law for the DFT cell and can differ from measured ones.

Peak list (8 most intense, 10 to 90 degrees two-theta, in order of rising 2θ)
26.62 deg, d = 3.349 Å, I = 100, (2 2 0)
31.46 deg, d = 2.843 Å, I = 54, (0 6 0)
32.33 deg, d = 2.769 Å, I = 72, (2 4 0)
34.84 deg, d = 2.575 Å, I = 65, (2 0 2)
47.65 deg, d = 1.909 Å, I = 52, (2 6 2)
50.10 deg, d = 1.821 Å, I = 24, (4 0 0)
60.37 deg, d = 1.533 Å, I = 21, (4 6 0)
60.89 deg, d = 1.521 Å, I = 25, (4 4 2)

Crystal structure
a b c (Å): 7.2785 17.0573 7.2871
angles (deg): 90.00 90.00 90.00
Space group Cmcm (No. 63)
Inequivalent atoms, fractional coordinates:
Ac: 0.0000 0.0643 0.2500 x4
Ac: 0.0000 0.4214 0.2500 x4
Ac: 0.2500 0.2500 0.0000 x8
Hg: 0.0000 0.3847 0.7500 x4
Ge: 0.0000 0.1181 0.7500 x4
N: 0.0000 0.2741 0.2500 x4

# 3
DyTmAlTl: computed PXRD pattern (CuKα), based on a crystal structure in Alexandria, relaxed with PBE.
Peak positions follow from Bragg's law for the DFT cell and can differ from measured ones.

Peak list (8 most intense, 10 to 90 degrees two-theta, in order of rising 2θ)
20.86 deg, d = 4.258 Å, I = 22, (1 1 1)
34.39 deg, d = 2.608 Å, I = 100, (2 2 0)
40.57 deg, d = 2.224 Å, I = 12, (3 1 1)
49.43 deg, d = 1.844 Å, I = 18, (4 0 0)
54.21 deg, d = 1.692 Å, I = 5, (3 3 1)
61.60 deg, d = 1.506 Å, I = 38, (4 2 2)
72.50 deg, d = 1.304 Å, I = 12, (4 4 0)
82.76 deg, d = 1.166 Å, I = 17, (6 2 0)

Crystal structure
a b c (Å): 7.3754 7.3754 7.3754
angles (deg): 90.00 90.00 90.00
Space group F-43m (No. 216)
Inequivalent atoms, fractional coordinates:
Dy: 0.0000 0.0000 0.0000 x4
Tm: 0.0000 0.0000 0.5000 x4
Al: 0.2500 0.2500 0.2500 x4
Tl: 0.2500 0.2500 0.7500 x4

# 4
BiPtS: computed PXRD pattern (CuKα), based on a crystal structure in Alexandria, relaxed with PBE.
Peak positions follow from Bragg's law for the DFT cell and can differ from measured ones.

Peak list (8 most intense, 10 to 90 degrees two-theta, in order of rising 2θ)
24.23 deg, d = 3.674 Å, I = 41, (0 0 2)
26.72 deg, d = 3.336 Å, I = 100, (0 2 0)
33.74 deg, d = 2.657 Å, I = 55, (2 0 -2)
33.89 deg, d = 2.645 Å, I = 50, (2 0 0)
34.45 deg, d = 2.604 Å, I = 44, (1 0 2)
36.39 deg, d = 2.469 Å, I = 55, (2 1 -2)
44.12 deg, d = 2.052 Å, I = 42, (1 2 2)
48.08 deg, d = 1.892 Å, I = 48, (1 1 -4)

Crystal structure
a b c (Å): 5.6840 6.6719 7.8958
angles (deg): 90.00 111.47 90.00
Space group P2_1/c (No. 14)
Inequivalent atoms, fractional coordinates:
Bi: 0.1914 0.2121 0.4666 x4
Pt: 0.2022 0.7074 0.8811 x4
S: 0.3382 0.6091 0.6479 x4

# 5
PrHo2ErTh: computed PXRD pattern (CuKα), based on a crystal structure in Alexandria, relaxed with PBE.
Peak positions follow from Bragg's law for the DFT cell and can differ from measured ones.

Peak list (8 most intense, 10 to 90 degrees two-theta, in order of rising 2θ)
20.45 deg, d = 4.342 Å, I = 17, (0 0 2)
31.60 deg, d = 2.831 Å, I = 100, (1 1 1)
31.73 deg, d = 2.820 Å, I = 40, (0 2 0)
32.67 deg, d = 2.741 Å, I = 20, (1 0 2)
34.84 deg, d = 2.575 Å, I = 27, (0 1 3)
36.44 deg, d = 2.465 Å, I = 24, (1 1 2)
56.44 deg, d = 1.630 Å, I = 20, (1 3 1)
61.74 deg, d = 1.502 Å, I = 20, (1 1 5)

Crystal structure
a b c (Å): 3.5342 5.6406 8.6844
angles (deg): 90.00 90.00 90.00
Space group Pmmm (No. 47)
Inequivalent atoms, fractional coordinates:
Pr: 0.0000 0.0000 0.0000 x1
Ho: 0.0000 0.5000 0.3221 x2
Er: 0.5000 0.0000 0.5000 x1
Th: 0.5000 0.5000 0.0000 x1